This entry pairs a crystal structure of VZnPO5 with its computed XRD peak list. Radiation: Cu Kα (weighted mean of Kα1 and Kα2). Structure: the PBE+U geometry in Alexandria.

Cell and atoms:
a = 5.5199 Å, b = 5.5199 Å, c = 7.2129 Å
α = 108.47°, β = 108.47°, γ = 95.81°
Fractional coordinates of all 16 atoms:
V (0.0000, 0.0000, 0.0000)
V (0.0000, 0.0000, 0.5000)
Zn (0.3151, 0.6849, 0.7500)
Zn (0.6849, 0.3151, 0.2500)
P (0.3562, 0.6438, 0.2500)
P (0.6438, 0.3562, 0.7500)
O (0.0873, 0.9127, 0.7500)
O (0.2314, 0.7283, 0.4165)
O (0.2717, 0.7686, 0.0835)
O (0.3008, 0.3350, 0.1471)
O (0.3350, 0.3008, 0.6471)
O (0.6650, 0.6992, 0.3529)
O (0.6992, 0.6650, 0.8529)
O (0.7283, 0.2314, 0.9165)
O (0.7686, 0.2717, 0.5835)
O (0.9127, 0.0873, 0.2500)

Top 10 peaks for 2θ from 10° to 90°, low angle first:
| 2theta | I_rel |
| --- | --- |
| 17.82 | 16 |
| 27.02 | 87 |
| 27.35 | 100 |
| 35.64 | 51 |
| 35.76 | 16 |
| 38.50 | 14 |
| 39.57 | 14 |
| 50.63 | 22 |
| 53.91 | 24 |
| 63.21 | 16 |